For Sr14Al8Ge3, the GGA-PBE geometry in the Materials Project gives the calculated X-ray powder pattern in this record (Cu Kα (weighted mean of Kα1 and Kα2)).
Neutral-atom scattering factors, no anomalous dispersion.

Structure:
a b c (Å): 12.0023 12.0023 40.1262
angles (deg): 90.00 90.00 120.00
Space group R-3 (No. 148, hexagonal axes)
One atom of each set of equivalent atoms:
1 Sr 0.0000 0.0000 0.0000 x3
2 Sr 0.0000 0.0000 0.0908 x6
3 Sr 0.0000 0.0000 0.5000 x3
4 Sr 0.0039 0.5088 0.3032 x18
5 Sr 0.0086 0.6387 0.7855 x18
6 Sr 0.0215 0.2911 0.7846 x18
7 Sr 0.0933 0.2165 0.2899 x18
8 Al 0.0000 0.0000 0.2237 x6
9 Al 0.0000 0.0000 0.3595 x6
10 Al 0.0146 0.1368 0.1678 x18
11 Al 0.0562 0.1487 0.4156 x18
12 Ge 0.0541 0.5202 0.6161 x18

Peak list (6 most intense, 2θ from 10° to 90°, in order of falling intensity)
two_theta	d_spacing	I_rel	hkl
26.6	3.351	100	0 0 12
30.6	2.924	93	2 -1 12
32.7	2.736	83	3 0 9
28.9	3.093	43	3 -2 8
29.0	3.076	34	0 3 6
31.1	2.875	31	4 -3 1

***

For TbAlGe, the GGA-PBE geometry in the Materials Project gives the calculated X-ray powder pattern in this record (Cu Kα (weighted mean of Kα1 and Kα2)).
Neutral-atom scattering factors, no anomalous dispersion.

Structure:
a b c (Å): 3.9996 10.7127 6.0236
angles (deg): 90.00 90.00 90.00
Space group Cmcm (No. 63)
One atom of each set of equivalent atoms:
1 Tb 0.0000 0.1851 0.2500 x4
2 Al 0.0000 0.0986 0.7500 x4
3 Ge 0.0000 0.5000 0.0000 x4

Peak list (6 most intense, 2θ from 10° to 90°, in order of falling intensity)
two_theta	d_spacing	I_rel	hkl
33.6	2.664	100	1 3 0
28.0	3.182	99	1 1 1
38.3	2.347	67	1 1 2
34.2	2.625	55	0 2 2
36.7	2.447	45	0 4 1
22.2	4.003	41	0 2 1

***

For Tb2Al3Ge4, the GGA-PBE geometry in the Materials Project gives the calculated X-ray powder pattern in this record (Cu Kα (weighted mean of Kα1 and Kα2)).
Neutral-atom scattering factors, no anomalous dispersion.

Structure:
a b c (Å): 6.0309 14.8458 7.9157
angles (deg): 90.00 90.00 90.00
Space group Cmce (No. 64)
One atom of each set of equivalent atoms:
1 Tb 0.0000 0.1138 0.0825 x8
2 Al 0.0000 0.0000 0.5000 x4
3 Al 0.2500 0.2173 0.7500 x8
4 Ge 0.0000 0.1847 0.4490 x8
5 Ge 0.2500 0.0467 0.7500 x8

Peak list (6 most intense, 2θ from 10° to 90°, in order of falling intensity)
two_theta	d_spacing	I_rel	hkl
35.6	2.525	100	1 5 1
36.1	2.486	76	0 2 3
37.5	2.399	70	2 0 2
34.0	2.634	60	2 2 1
32.6	2.751	52	1 3 2
19.4	4.565	40	1 1 1

***

For Tb2AlGe3, the GGA-PBE geometry in the Materials Project gives the calculated X-ray powder pattern in this record (Cu Kα (weighted mean of Kα1 and Kα2)).
Neutral-atom scattering factors, no anomalous dispersion.

Structure:
a b c (Å): 6.8091 4.2348 17.8267
angles (deg): 90.00 90.00 90.00
Space group Pnma (No. 62)
One atom of each set of equivalent atoms:
1 Tb 0.1692 0.2500 0.2042 x4
2 Tb 0.1716 0.2500 0.4148 x4
3 Al 0.0503 0.7500 0.0646 x4
4 Ge 0.0333 0.2500 0.6728 x4
5 Ge 0.1447 0.2500 0.8117 x4
6 Ge 0.2484 0.2500 0.0346 x4

Peak list (6 most intense, 2θ from 10° to 90°, in order of falling intensity)
two_theta	d_spacing	I_rel	hkl
35.5	2.532	100	1 1 5
33.8	2.653	60	2 1 0
42.7	2.118	58	0 2 0
32.9	2.726	42	0 1 5
32.0	2.799	36	1 1 4
34.2	2.624	35	2 1 1